Entry 1:
Simulated XRD peak list of Pm3Nd2Cd for CuKα, from DFT lattice parameters and positions (GGA-PBE).
Lines closer than 0.1° are merged.

Principal peaks in the range 2θ from 10° to 80°, low angle first:
h k l	d/Å	two_theta	I/Imax
0 2 0	3.102	28.78	10
3 1 1	2.996	29.83	38
0 0 4	2.881	31.04	34
0 2 2	2.731	32.79	100
3 1 3	2.413	37.26	21
3 1 5	1.850	49.25	9
3 3 0	1.791	50.99	25
0 2 6	1.633	56.34	21
3 3 4	1.521	60.91	29
0 4 2	1.498	61.96	16

Atomic structure:
```
data_Pm3Nd2Cd
_chemical_formula_sum 'Pm12 Nd8 Cd4'
_space_group_name_H-M_alt 'C m c 21'
_space_group_IT_number 36
_space_group_name_Hall 'C 2c -2'
_cell_length_a 10.7452
_cell_length_b 6.2049
_cell_length_c 11.5232
_cell_angle_alpha 90.00
_cell_angle_beta 90.00
_cell_angle_gamma 90.00
loop_
_atom_site_label
_atom_site_fract_x
_atom_site_fract_y
_atom_site_fract_z
Pm1 0.0000 0.0008 0.9996
Pm2 0.1588 0.4989 0.5000
Nd1 0.1682 0.1665 0.2498
Cd1 0.0000 0.3318 0.7499
```



Entry 2:
Simulated XRD peak list of Pm6NdCd2 for CuKα, from DFT lattice parameters and positions (GGA-PBE).
Lines closer than 0.1° are merged.

Principal peaks in the range 2θ from 10° to 80°, low angle first:
h k l	d/Å	two_theta	I/Imax
4 0 -3	2.885	31.00	49
1 1 -3	2.795	32.03	100
2 0 -6	2.039	44.42	15
0 2 0	1.918	47.39	9
3 1 4	1.824	50.00	4
5 1 -6	1.648	55.80	28
4 2 -3	1.598	57.69	10
2 2 3	1.597	57.73	8
2 2 -6	1.397	66.97	9
1 3 -3	1.220	78.35	8

Atomic structure:
```
data_Pm6NdCd2
_chemical_formula_sum 'Pm12 Nd2 Cd4'
_space_group_name_H-M_alt 'C 1 2/m 1'
_space_group_IT_number 12
_space_group_name_Hall '-C 2y'
_cell_length_a 12.9102
_cell_length_b 3.8365
_cell_length_c 12.2326
_cell_angle_alpha 90.00
_cell_angle_beta 108.51
_cell_angle_gamma 90.00
loop_
_atom_site_label
_atom_site_fract_x
_atom_site_fract_y
_atom_site_fract_z
Pm1 0.0181 0.0000 0.3392
Pm2 0.1846 0.5000 0.8762
Pm3 0.1883 0.5000 0.5860
Nd1 0.0000 0.0000 0.0000
Cd1 0.1472 0.5000 0.2083
```



Entry 3:
Simulated XRD peak list of PmNd2Cd5 for CuKα, from DFT lattice parameters and positions (GGA-PBE).
Lines closer than 0.1° are merged.

Principal peaks in the range 2θ from 10° to 80°, low angle first:
h k l	d/Å	two_theta	I/Imax
1 0 3	3.680	24.18	4
1 1 4	2.676	33.49	100
2 0 0	2.610	34.36	49
0 0 8	1.942	46.77	8
2 2 0	1.845	49.38	17
2 0 8	1.558	59.31	15
3 1 4	1.519	60.99	34
2 2 8	1.338	70.37	9
4 0 0	1.305	72.42	5
1 1 12	1.222	78.24	5

Atomic structure:
```
data_PmNd2Cd5
_chemical_formula_sum 'Pm2 Nd4 Cd10'
_space_group_name_H-M_alt 'I 4/m m m'
_space_group_IT_number 139
_space_group_name_Hall '-I 4 2'
_cell_length_a 5.2197
_cell_length_b 5.2197
_cell_length_c 15.5386
_cell_angle_alpha 90.00
_cell_angle_beta 90.00
_cell_angle_gamma 90.00
loop_
_atom_site_label
_atom_site_fract_x
_atom_site_fract_y
_atom_site_fract_z
Pm1 0.0000 0.0000 0.0000
Nd1 0.0000 0.0000 0.2643
Cd1 0.0000 0.0000 0.5000
Cd2 0.0000 0.5000 0.1166
```



Entry 4:
Simulated XRD peak list of PmNd14Cd for CuKα, from DFT lattice parameters and positions (GGA-PBE).
Lines closer than 0.1° are merged.

Principal peaks in the range 2θ from 10° to 80°, low angle first:
h k l	d/Å	two_theta	I/Imax
2 0 2	2.971	30.08	100
0 0 4	2.585	34.70	17
2 2 0	2.567	34.95	34
2 2 4	1.822	50.07	24
4 0 0	1.815	50.27	12
2 0 6	1.557	59.36	14
4 2 2	1.549	59.70	28
4 0 4	1.486	62.52	12
0 0 8	1.293	73.22	2
4 4 0	1.284	73.83	4

Atomic structure:
```
data_PmNd14Cd
_chemical_formula_sum 'Pm1 Nd14 Cd1'
_space_group_name_H-M_alt 'P 4/m m m'
_space_group_IT_number 123
_space_group_name_Hall '-P 4 2'
_cell_length_a 7.2606
_cell_length_b 7.2606
_cell_length_c 10.3418
_cell_angle_alpha 90.00
_cell_angle_beta 90.00
_cell_angle_gamma 90.00
loop_
_atom_site_label
_atom_site_fract_x
_atom_site_fract_y
_atom_site_fract_z
Pm1 0.0000 0.0000 0.0000
Nd1 0.0000 0.0000 0.5000
Nd2 0.0000 0.5000 0.0000
Nd3 0.0000 0.5000 0.5000
Nd4 0.2521 0.2521 0.2459
Nd5 0.5000 0.5000 0.5000
Cd1 0.5000 0.5000 0.0000
```



Entry 5:
Simulated XRD peak list of Pm3Nd2Cd4 for CuKα, from DFT lattice parameters and positions (GGA-PBE).
Lines closer than 0.1° are merged.

Principal peaks in the range 2θ from 10° to 80°, low angle first:
h k l	d/Å	two_theta	I/Imax
1 5 1	3.102	28.78	69
2 2 1	3.013	29.65	33
0 2 3	2.668	33.59	22
2 0 2	2.649	33.83	100
0 6 2	2.530	35.48	47
1 7 1	2.426	37.05	29
2 6 0	2.335	38.56	22
3 5 1	1.912	47.57	22
4 0 0	1.717	53.37	26
2 6 4	1.555	59.45	39

Atomic structure:
```
data_Pm3Nd2Cd4
_chemical_formula_sum 'Pm12 Nd8 Cd16'
_space_group_name_H-M_alt 'C m c e'
_space_group_IT_number 64
_space_group_name_Hall '-C 2ac 2'
_cell_length_a 6.8675
_cell_length_b 19.1013
_cell_length_c 8.3370
_cell_angle_alpha 90.00
_cell_angle_beta 90.00
_cell_angle_gamma 90.00
loop_
_atom_site_label
_atom_site_fract_x
_atom_site_fract_y
_atom_site_fract_z
Pm1 0.0000 0.0000 0.0000
Pm2 0.2500 0.2474 0.2500
Nd1 0.0000 0.0908 0.5982
Cd1 0.0000 0.1598 0.9872
Cd2 0.2500 0.0770 0.2500
```



Entry 6:
Simulated XRD peak list of Pm3Nd2Cd3 for CuKα, from DFT lattice parameters and positions (GGA-PBE).
Lines closer than 0.1° are merged.

Principal peaks in the range 2θ from 10° to 80°, low angle first:
h k l	d/Å	two_theta	I/Imax
1 1 2	2.830	31.62	100
2 0 0	2.502	35.89	36
0 0 4	2.357	38.18	14
2 2 0	1.769	51.67	13
2 0 4	1.716	53.41	21
1 1 5	1.664	55.20	2
3 1 2	1.500	61.85	29
1 1 6	1.436	64.94	10
2 2 4	1.415	66.03	11
4 0 0	1.251	76.08	4

Atomic structure:
```
data_Pm3Nd2Cd3
_chemical_formula_sum 'Pm3 Nd2 Cd3'
_space_group_name_H-M_alt 'P m m m'
_space_group_IT_number 47
_space_group_name_Hall '-P 2 2'
_cell_length_a 5.0038
_cell_length_b 5.0042
_cell_length_c 9.4277
_cell_angle_alpha 90.00
_cell_angle_beta 90.00
_cell_angle_gamma 90.00
loop_
_atom_site_label
_atom_site_fract_x
_atom_site_fract_y
_atom_site_fract_z
Pm1 0.0000 0.0000 0.0000
Pm2 0.5000 0.0000 0.2675
Nd1 0.0000 0.5000 0.2643
Cd1 0.0000 0.0000 0.5000
Cd2 0.5000 0.5000 0.0000
Cd3 0.5000 0.5000 0.5000
```



Entry 7:
Simulated XRD peak list of Pm6Nd2Cd for CuKα, from DFT lattice parameters and positions (GGA-PBE).
Lines closer than 0.1° are merged.

Principal peaks in the range 2θ from 10° to 80°, low angle first:
h k l	d/Å	two_theta	I/Imax
2 -1 0	3.036	29.42	39
-2 1 1	2.919	30.63	51
1 0 3	2.893	30.91	100
1 2 -2	2.875	31.11	92
0 3 2	2.849	31.40	74
-1 1 3	2.825	31.68	36
2 2 1	2.672	33.53	77
1 -3 1	2.648	33.86	60
3 -1 2	1.905	47.75	32
2 5 3	1.563	59.11	28

Atomic structure:
```
data_Pm6Nd2Cd
_chemical_formula_sum 'Pm12 Nd4 Cd2'
_space_group_name_H-M_alt 'P -1'
_space_group_IT_number 2
_space_group_name_Hall '-P 1'
_cell_length_a 6.4574
_cell_length_b 9.7080
_cell_length_c 9.7265
_cell_angle_alpha 82.37
_cell_angle_beta 88.97
_cell_angle_gamma 88.38
loop_
_atom_site_label
_atom_site_fract_x
_atom_site_fract_y
_atom_site_fract_z
Pm1 0.0907 0.0955 0.1348
Pm2 0.0975 0.2846 0.7845
Pm3 0.2319 0.2738 0.4206
Pm4 0.2539 0.6447 0.7259
Pm5 0.3872 0.6251 0.3656
Pm6 0.4029 0.0064 0.6823
Nd1 0.2457 0.4568 0.0746
Nd2 0.4058 0.8182 0.0253
Cd1 0.1397 0.9029 0.4344
```



Entry 8:
Simulated XRD peak list of Pr4Nd5Cd for CuKα, from DFT lattice parameters and positions (GGA-PBE).
Lines closer than 0.1° are merged.

Principal peaks in the range 2θ from 10° to 80°, low angle first:
h k l	d/Å	two_theta	I/Imax
1 0 5	2.978	30.00	100
1 1 0	2.632	34.07	40
0 0 10	2.483	36.17	10
1 1 9	1.904	47.76	7
2 0 0	1.861	48.94	14
1 1 10	1.806	50.53	16
1 0 14	1.601	57.56	8
2 1 5	1.578	58.48	30
2 0 10	1.489	62.35	8
2 1 14	1.214	78.86	6

Atomic structure:
```
data_Pr4Nd5Cd
_chemical_formula_sum 'Pr4 Nd5 Cd1'
_space_group_name_H-M_alt 'P 4/m m m'
_space_group_IT_number 123
_space_group_name_Hall '-P 4 2'
_cell_length_a 3.7220
_cell_length_b 3.7220
_cell_length_c 24.8310
_cell_angle_alpha 90.00
_cell_angle_beta 90.00
_cell_angle_gamma 90.00
loop_
_atom_site_label
_atom_site_fract_x
_atom_site_fract_y
_atom_site_fract_z
Pr1 0.0000 0.0000 0.1044
Pr2 0.0000 0.0000 0.3137
Nd1 0.5000 0.5000 0.0000
Nd2 0.5000 0.5000 0.2093
Nd3 0.5000 0.5000 0.4170
Cd1 0.0000 0.0000 0.5000
```



Entry 9:
Simulated XRD peak list of Pr2NdCd2 for CuKα, from DFT lattice parameters and positions (GGA-PBE).
Lines closer than 0.1° are merged.

Principal peaks in the range 2θ from 10° to 80°, low angle first:
h k l	d/Å	two_theta	I/Imax
1 1 1	2.836	31.55	100
4 0 -1	2.817	31.76	37
2 0 -3	2.781	32.19	51
3 1 -2	2.689	33.33	89
2 0 2	2.097	43.14	14
0 2 0	1.924	47.24	18
1 1 -4	1.646	55.85	17
4 2 -1	1.588	58.07	18
2 2 -3	1.582	58.32	18
5 1 -5	1.560	59.24	16

Atomic structure:
```
data_Pr2NdCd2
_chemical_formula_sum 'Pr4 Nd2 Cd4'
_space_group_name_H-M_alt 'C 1 2/m 1'
_space_group_IT_number 12
_space_group_name_Hall '-C 2y'
_cell_length_a 12.0814
_cell_length_b 3.8483
_cell_length_c 8.5590
_cell_angle_alpha 90.00
_cell_angle_beta 130.34
_cell_angle_gamma 90.00
loop_
_atom_site_label
_atom_site_fract_x
_atom_site_fract_y
_atom_site_fract_z
Pr1 0.1603 0.0000 0.2592
Nd1 0.0000 0.0000 0.5000
Cd1 0.1276 0.5000 0.9044
```



Entry 10:
Simulated XRD peak list of Pr5Nd4Cd4 for CuKα, from DFT lattice parameters and positions (GGA-PBE).
Lines closer than 0.1° are merged.

Principal peaks in the range 2θ from 10° to 80°, low angle first:
h k l	d/Å	two_theta	I/Imax
3 0 1	3.287	27.13	12
4 0 0	3.120	28.61	10
2 3 1	2.908	30.75	100
4 2 0	2.791	32.07	8
0 0 2	2.680	33.43	27
1 4 1	2.636	34.01	13
5 1 0	2.448	36.71	17
5 1 2	1.807	50.49	13
7 2 1	1.633	56.34	12
2 3 3	1.588	58.09	19

Atomic structure:
```
data_Pr5Nd4Cd4
_chemical_formula_sum 'Pr10 Nd8 Cd8'
_space_group_name_H-M_alt 'I 4/m'
_space_group_IT_number 87
_space_group_name_Hall '-I 4'
_cell_length_a 12.4816
_cell_length_b 12.4816
_cell_length_c 5.3604
_cell_angle_alpha 90.00
_cell_angle_beta 90.00
_cell_angle_gamma 90.00
loop_
_atom_site_label
_atom_site_fract_x
_atom_site_fract_y
_atom_site_fract_z
Pr1 0.0000 0.0000 0.0000
Pr2 0.1059 0.8162 0.5000
Nd1 0.0964 0.6118 0.0000
Cd1 0.1066 0.2354 0.0000
```



Entry 11:
Simulated XRD peak list of Pr2NdCd3 for CuKα, from DFT lattice parameters and positions (GGA-PBE).
Lines closer than 0.1° are merged.

Principal peaks in the range 2θ from 10° to 80°, low angle first:
h k l	d/Å	two_theta	I/Imax
1 0 1	3.874	22.96	1
1 1 0	2.739	32.69	100
2 0 2	1.937	46.91	18
2 1 1	1.732	52.85	1
3 0 0	1.581	58.35	37
2 2 0	1.370	68.51	11
3 1 2	1.225	78.00	16

Atomic structure:
```
data_Pr2NdCd3
_chemical_formula_sum 'Pr2 Nd1 Cd3'
_space_group_name_H-M_alt 'P -3 m 1'
_space_group_IT_number 164
_space_group_name_Hall '-P 3 2"'
_cell_length_a 5.4786
_cell_length_b 5.4786
_cell_length_c 6.7089
_cell_angle_alpha 90.00
_cell_angle_beta 90.00
_cell_angle_gamma 120.00
loop_
_atom_site_label
_atom_site_fract_x
_atom_site_fract_y
_atom_site_fract_z
Pr1 0.3333 0.6667 0.1675
Nd1 0.0000 0.0000 0.5000
Cd1 0.0000 0.0000 0.0000
Cd2 0.3333 0.6667 0.6657
```



Entry 12:
Simulated XRD peak list of Pr3Nd7Cd for CuKα, from DFT lattice parameters and positions (GGA-PBE).
Lines closer than 0.1° are merged.

Principal peaks in the range 2θ from 10° to 80°, low angle first:
h k l	d/Å	two_theta	I/Imax
1 0 1	5.081	17.45	7
0 0 3	2.944	30.36	33
0 2 1	2.930	30.51	100
2 0 2	2.541	35.33	68
0 2 4	1.800	50.73	24
2 2 0	1.793	50.92	24
2 0 5	1.535	60.28	14
4 0 1	1.531	60.47	42
0 4 2	1.465	63.50	12
4 0 4	1.270	74.73	7

Atomic structure:
```
data_Pr3Nd7Cd
_chemical_formula_sum 'Pr3 Nd7 Cd1'
_space_group_name_H-M_alt 'P 3 m 1'
_space_group_IT_number 156
_space_group_name_Hall 'P 3 -2"'
_cell_length_a 7.1736
_cell_length_b 7.1736
_cell_length_c 8.8309
_cell_angle_alpha 90.00
_cell_angle_beta 90.00
_cell_angle_gamma 120.00
loop_
_atom_site_label
_atom_site_fract_x
_atom_site_fract_y
_atom_site_fract_z
Pr1 0.0012 0.5006 0.0000
Nd1 0.1688 0.3375 0.3345
Nd2 0.3333 0.6667 0.6680
Nd3 0.3357 0.1679 0.6584
Cd1 0.6667 0.3333 0.3358
```



Entry 13:
Simulated XRD peak list of Pr3Nd2Cd4 for CuKα, from DFT lattice parameters and positions (GGA-PBE).
Lines closer than 0.1° are merged.

Principal peaks in the range 2θ from 10° to 80°, low angle first:
h k l	d/Å	two_theta	I/Imax
0 6 0	3.246	27.48	29
1 5 1	3.137	28.45	67
2 2 1	3.030	29.48	34
0 2 3	2.680	33.43	22
2 0 2	2.662	33.67	100
0 6 2	2.562	35.02	63
1 7 1	2.462	36.49	33
2 6 0	2.362	38.11	21
0 12 0	1.620	56.82	21
2 6 4	1.566	58.99	39

Atomic structure:
```
data_Pr3Nd2Cd4
_chemical_formula_sum 'Pr12 Nd8 Cd16'
_space_group_name_H-M_alt 'C m c e'
_space_group_IT_number 64
_space_group_name_Hall '-C 2ac 2'
_cell_length_a 6.8982
_cell_length_b 19.4411
_cell_length_c 8.3658
_cell_angle_alpha 90.00
_cell_angle_beta 90.00
_cell_angle_gamma 90.00
loop_
_atom_site_label
_atom_site_fract_x
_atom_site_fract_y
_atom_site_fract_z
Pr1 0.0000 0.0000 0.0000
Pr2 0.2500 0.2483 0.2500
Nd1 0.0000 0.0895 0.5971
Cd1 0.0000 0.1584 0.9879
Cd2 0.2500 0.0784 0.2500
```